The following is a calculated powder X-ray diffraction pattern of Li3La4. It was derived from a cell relaxed with GGA-PBE, using Cu Kα.

Atomic structure:
Lattice parameters (Å, degrees): 5.9842 5.9842 6.9019 90.00 90.00 120.00
Positions (direct):
Li: 0.0000 0.5000 0.0000
Li: 0.5000 0.0000 0.0000
Li: 0.5000 0.5000 0.0000
La: 0.0000 0.0000 0.2679
La: 0.0000 0.0000 0.7321
La: 0.3333 0.6667 0.5000
La: 0.6667 0.3333 0.5000

Top 6 peaks for 2θ = 10–90°, in order of falling intensity:
two_theta	I_rel
31.14	100
29.86	98
12.83	67
32.62	51
53.82	43
43.68	35